HoTl4F7: theoretical powder diffraction line list (a wavelength of 1.5418 Å), based on the GGA-PBE geometry in Alexandria.
Intensities are scaled so that the largest is 100.

Top 6 peaks for 10° ≤ 2θ ≤ 90°, low angle first:
two_theta	intensity	hkl
24.90	49	3 1 0
26.07	39	1 1 1
26.43	44	3 1 -1
26.71	100	4 0 1
27.55	48	6 0 -1
50.13	37	4 2 1

Cell and atoms:
Unit cell a=19.8277 b=4.3416 c=6.6670 alpha=90.00 beta=107.52 gamma=90.00
Space group C2/m (No. 12)
Unique sites:
Ho (0.0000, 0.0000, 0.0000) x2
Tl (0.0943, 0.5000, 0.5780) x4
Tl (0.1976, 0.5000, 0.1620) x4
F (0.0000, 0.5000, 0.0000) x2
F (0.0808, 0.0000, 0.8392) x4
F (0.0844, 0.0000, 0.2982) x4
F (0.2225, 0.5000, 0.8049) x4



CaGePtO4: theoretical powder diffraction line list (a wavelength of 1.5418 Å), based on the GGA-PBE geometry in Alexandria.
Intensities are scaled so that the largest is 100.

Top 6 peaks for 10° ≤ 2θ ≤ 90°, low angle first:
two_theta	intensity	hkl
21.83	93	1 1 1
25.92	55	0 0 2
29.47	75	2 0 0
31.48	54	1 1 2
32.89	61	1 3 0
35.49	100	2 2 0

Cell and atoms:
Unit cell a=6.0626 b=9.1432 c=6.8750 alpha=90.00 beta=90.00 gamma=90.00
Space group Cmcm (No. 63)
Unique sites:
Ca (0.0000, 0.0000, 0.0000) x4
Ge (0.0000, 0.3707, 0.2500) x4
Pt (0.0000, 0.2890, 0.7500) x4
O (0.0000, 0.2558, 0.0407) x8
O (0.2339, 0.4892, 0.2500) x8



Tm3MgCo: theoretical powder diffraction line list (a wavelength of 1.5418 Å), based on the GGA-PBE geometry in Alexandria.
Intensities are scaled so that the largest is 100.

Top 6 peaks for 10° ≤ 2θ ≤ 90°, low angle first:
two_theta	intensity	hkl
11.15	75	0 0 2
28.00	85	2 0 0
31.94	100	1 3 1
32.88	96	1 1 5
35.82	79	1 3 3
40.95	95	2 2 4

Cell and atoms:
Unit cell a=6.3741 b=9.5433 c=15.8759 alpha=90.00 beta=90.00 gamma=90.00
Space group Fmmm (No. 69)
Unique sites:
Tm (0.0000, 0.0000, 0.2060) x8
Tm (0.0000, 0.1956, 0.3854) x16
Mg (0.2112, 0.0000, 0.0000) x8
Co (0.2500, 0.2500, 0.2500) x8



V7Co2N2: theoretical powder diffraction line list (a wavelength of 1.5418 Å), based on the GGA-PBE geometry in Alexandria.
Intensities are scaled so that the largest is 100.

Top 6 peaks for 10° ≤ 2θ ≤ 90°, low angle first:
two_theta	intensity	hkl
38.39	33	1 2 1
41.23	58	0 6 0
42.92	36	1 1 2
43.84	100	0 3 3
45.47	83	1 4 1
47.38	70	1 3 2

Cell and atoms:
Unit cell a=2.6879 b=13.1389 c=7.0252 alpha=90.00 beta=90.00 gamma=90.00
Space group Imm2 (No. 44)
Unique sites:
V (0.0000, 0.0000, 0.0000) x2
V (0.0000, 0.1427, 0.4268) x4
V (0.0000, 0.3195, 0.6117) x4
V (0.0000, 0.3446, 0.2613) x4
Co (0.0000, 0.0000, 0.6492) x2
Co (0.0000, 0.5000, 0.8121) x2
N (0.0000, 0.2404, 0.9054) x4